The following is a calculated powder X-ray diffraction pattern of NbTe6Pt2. It was derived from a crystal structure in Alexandria, relaxed with PBE, using a wavelength of 1.5418 Å.
Peak positions follow from Bragg's law for the DFT cell and can differ from measured ones.

Top 6 peaks for 2θ = 10–80°, sorted by position:
two_theta  d (Å)  I/Imax
29.78  3.000  84
30.96  2.889  100
31.97  2.799  63
41.73  2.165  36
45.20  2.006  42
45.88  1.978  39

Lattice parameters (Å, degrees): 9.4250 9.4250 5.7967 105.00 105.00 93.19
Positions (direct):
Nb 0.0667 0.9333 0.7500
Nb 0.9333 0.0667 0.2500
Te 0.0673 0.6522 0.8407
Te 0.0679 0.2301 0.7406
Te 0.2301 0.0679 0.2406
Te 0.3045 0.4963 0.4166
Te 0.3478 0.9327 0.6593
Te 0.4963 0.3045 0.9166
Te 0.5037 0.6955 0.0834
Te 0.6522 0.0673 0.3407
Te 0.6955 0.5037 0.5834
Te 0.7699 0.9321 0.7594
Te 0.9321 0.7699 0.2594
Te 0.9327 0.3478 0.1593
Pt 0.2799 0.4739 0.8927
Pt 0.4739 0.2799 0.3927
Pt 0.5261 0.7201 0.6073
Pt 0.7201 0.5261 0.1073